# CeVPO6
Theoretical powder diffractogram, λ = 1.5418 Å (Cu Kα). Input: the GGA+U geometry in Alexandria.

Atomic structure:
a = 4.9931 Å, b = 8.5210 Å, c = 4.8620 Å
α = 90.00°, β = 90.56°, γ = 90.00°
Space group C2 (No. 5)
Symmetry-distinct sites (fractional):
Ce1 0.0000 0.0000 0.0000 x2
V1 0.0000 0.6677 0.5000 x2
P1 0.0000 0.3303 0.5000 x2
O1 0.1310 0.4774 0.7040 x4
O2 0.1545 0.1911 0.7053 x4
O3 0.2166 0.8201 0.7054 x4

Peak list (8 most intense, 10° ≤ 2θ ≤ 90°, low angle first)
20.62 deg, 4.308 Å, I 21.2, (1 1 0); 27.55 deg, 3.238 Å, I 50.9, (1 1 -1); 27.81 deg, 3.207 Å, I 100.0, (0 2 1); 35.97 deg, 2.496 Å, I 11.3, (2 0 0); 36.39 deg, 2.469 Å, I 22.1, (1 3 0); 42.85 deg, 2.110 Å, I 11.7, (1 1 2); 45.94 deg, 1.975 Å, I 11.3, (2 2 -1); 52.99 deg, 1.728 Å, I 19.4, (1 3 2)